Entry 1:
This entry pairs a crystal structure of PuTiF6 with its theoretical X-ray powder pattern. Radiation: λ = 1.5418 Å (Cu Kα). Structure: a structure optimized by DFT (GGA-PBE).

Peak list (10 most intense, 2θ from 15° to 90°, low angle first)
hkl 0 0 2, 2θ = 17.4°, intensity 15; hkl 1 0 1, 2θ = 20.6°, intensity 100; hkl 1 0 2, 2θ = 25.6°, intensity 39; hkl 1 0 3, 2θ = 32.4°, intensity 29; hkl 1 1 0, 2θ = 32.7°, intensity 19; hkl 1 1 2, 2θ = 37.2°, intensity 24; hkl 2 0 1, 2θ = 39.0°, intensity 16; hkl 2 0 3, 2θ = 46.7°, intensity 14; hkl 2 -1 4, 2θ = 48.7°, intensity 27; hkl 2 1 1, 2θ = 51.7°, intensity 18

Crystal structure
Lattice parameters (Å, degrees): 5.4802 5.4802 10.2132 90.00 90.00 120.00
Space group P-31c (No. 163)
Inequivalent atoms, fractional coordinates:
Pu1 0.3333 0.6667 0.2500 (multiplicity 2)
Ti1 0.0000 0.0000 0.0000 (multiplicity 2)
F1 0.0269 0.3034 0.1132 (multiplicity 12)



Entry 2:
This entry pairs a crystal structure of CaLa2ReCl with its theoretical X-ray powder pattern. Radiation: λ = 1.5418 Å (Cu Kα). Structure: a structure optimized by DFT (GGA-PBE).

Peak list (10 most intense, 2θ from 15° to 90°, low angle first)
hkl 1 0 0, 2θ = 16.5°, intensity 69; hkl 1 0 1, 2θ = 22.1°, intensity 62; hkl 1 1 1, 2θ = 27.7°, intensity 33; hkl 0 0 2, 2θ = 29.4°, intensity 70; hkl 2 0 0, 2θ = 33.3°, intensity 100; hkl 2 0 1, 2θ = 36.5°, intensity 78; hkl 2 0 2, 2θ = 45.0°, intensity 86; hkl 2 2 0, 2θ = 47.8°, intensity 36; hkl 2 2 1, 2θ = 50.3°, intensity 32; hkl 2 2 2, 2θ = 57.1°, intensity 42

Crystal structure
Lattice parameters (Å, degrees): 5.3806 5.3806 6.0845 90.00 90.00 90.00
Space group P4/mmm (No. 123)
Inequivalent atoms, fractional coordinates:
Ca1 0.0000 0.0000 0.0000 (multiplicity 1)
La1 0.0000 0.5000 0.5000 (multiplicity 2)
Re1 0.0000 0.0000 0.5000 (multiplicity 1)
Cl1 0.5000 0.5000 0.0000 (multiplicity 1)



Entry 3:
This entry pairs a crystal structure of Ac2PrRu2 with its theoretical X-ray powder pattern. Radiation: λ = 1.5418 Å (Cu Kα). Structure: a structure optimized by DFT (GGA-PBE).

Peak list (10 most intense, 2θ from 15° to 90°, low angle first)
hkl 3 1 -1, 2θ = 29.1°, intensity 77; hkl 4 0 -1, 2θ = 29.5°, intensity 33; hkl 3 1 -2, 2θ = 29.9°, intensity 42; hkl 1 1 2, 2θ = 30.2°, intensity 100; hkl 1 1 -3, 2θ = 31.4°, intensity 57; hkl 3 1 -3, 2θ = 33.3°, intensity 72; hkl 3 1 1, 2θ = 35.7°, intensity 54; hkl 0 2 0, 2θ = 39.1°, intensity 67; hkl 4 2 -1, 2θ = 49.7°, intensity 28; hkl 7 1 -3, 2θ = 55.6°, intensity 28

Crystal structure
Lattice parameters (Å, degrees): 12.3919 4.6081 11.0571 90.00 117.70 90.00
Space group C2/m (No. 12)
Inequivalent atoms, fractional coordinates:
Ac1 0.0279 0.0000 0.1946 (multiplicity 4)
Ac2 0.1778 0.0000 0.5885 (multiplicity 4)
Pr1 0.2075 0.5000 0.8676 (multiplicity 4)
Ru1 0.0391 0.5000 0.4112 (multiplicity 4)
Ru2 0.1221 0.5000 0.0803 (multiplicity 4)



- Which formula does entry 3 have?
  Ac2PrRu2



- Number 3 is which compound?
  Ac2PrRu2